The following is a simulated X-ray powder pattern of Pr2Nd5In4. It was derived from a crystal structure in Alexandria, relaxed with PBE, using λ = 1.5418 Å (Cu Kα).

Cell lengths 8.8534, 3.5297, 10.8432 Å; angles 90.00, 95.81, 90.00 degrees
Sites, in units of the cell vectors:
Pr (0.0831, 0.0000, 0.1380)
Pr (0.9169, 0.0000, 0.8620)
Nd (0.1593, 0.0000, 0.6420)
Nd (0.4586, 0.0000, 0.1660)
Nd (0.5000, 0.0000, 0.5000)
Nd (0.5414, 0.0000, 0.8340)
Nd (0.8407, 0.0000, 0.3580)
In (0.2007, 0.5000, 0.3827)
In (0.2507, 0.5000, 0.9207)
In (0.7493, 0.5000, 0.0793)
In (0.7993, 0.5000, 0.6173)

Peak list (6 most intense, 10 to 90 degrees two-theta, sorted by position)
d/Å, two_theta, I_rel
2.935, 30.5, 39.9
2.848, 31.4, 40.9
2.754, 32.5, 100.0
2.696, 33.2, 42.2
2.656, 33.7, 44.9
2.519, 35.6, 38.3

---

The following is a simulated X-ray powder pattern of NaGa2Pd2. It was derived from a crystal structure in Alexandria, relaxed with PBE, using λ = 1.5418 Å (Cu Kα).

Cell lengths 7.6749, 7.6749, 2.8348 Å; angles 90.00, 90.00, 90.00 degrees
Sites, in units of the cell vectors:
Na (0.0000, 0.0000, 0.0000)
Na (0.5000, 0.5000, 0.0000)
Ga (0.1473, 0.3527, 0.5000)
Ga (0.3527, 0.8527, 0.5000)
Ga (0.6473, 0.1473, 0.5000)
Ga (0.8527, 0.6473, 0.5000)
Pd (0.1490, 0.6490, 0.0000)
Pd (0.3510, 0.1490, 0.0000)
Pd (0.6490, 0.8510, 0.0000)
Pd (0.8510, 0.3510, 0.0000)

Peak list (6 most intense, 10 to 90 degrees two-theta, sorted by position)
d/Å, two_theta, I_rel
5.427, 16.3, 37.1
2.427, 37.0, 45.5
2.186, 41.3, 100.0
1.919, 47.4, 16.6
1.809, 50.4, 15.7
1.273, 74.5, 25.9

---

The following is a simulated X-ray powder pattern of Ni5Pt7. It was derived from a crystal structure in Alexandria, relaxed with PBE, using λ = 1.5418 Å (Cu Kα).

Cell lengths 2.7314, 8.1090, 7.5458 Å; angles 90.00, 90.00, 90.00 degrees
Sites, in units of the cell vectors:
Ni (0.0000, 0.0000, 0.0000)
Ni (0.0000, 0.3260, 0.5179)
Ni (0.0000, 0.6740, 0.5179)
Ni (0.5000, 0.1628, 0.7654)
Ni (0.5000, 0.8372, 0.7654)
Pt (0.0000, 0.0000, 0.5350)
Pt (0.0000, 0.3249, 0.0011)
Pt (0.0000, 0.6751, 0.0011)
Pt (0.5000, 0.1650, 0.2649)
Pt (0.5000, 0.5000, 0.2800)
Pt (0.5000, 0.5000, 0.7401)
Pt (0.5000, 0.8350, 0.2649)

Peak list (6 most intense, 10 to 90 degrees two-theta, sorted by position)
d/Å, two_theta, I_rel
2.212, 40.8, 100.0
2.197, 41.1, 97.2
1.921, 47.3, 66.8
1.886, 48.2, 28.2
1.346, 69.9, 36.7
1.160, 83.3, 25.2

---

The following is a simulated X-ray powder pattern of Ho2Ge7Pd12. It was derived from a crystal structure in Alexandria, relaxed with PBE, using λ = 1.5418 Å (Cu Kα).

Cell lengths 10.3079, 10.3079, 3.8387 Å; angles 90.00, 90.00, 120.00 degrees
Sites, in units of the cell vectors:
Ho (0.3333, 0.6667, 0.2451)
Ho (0.6667, 0.3333, 0.7549)
Ge (0.0000, 0.0000, 0.5000)
Ge (0.1203, 0.7101, 0.7489)
Ge (0.2899, 0.4102, 0.7489)
Ge (0.4102, 0.1203, 0.2511)
Ge (0.5898, 0.8797, 0.7489)
Ge (0.7101, 0.5898, 0.2511)
Ge (0.8797, 0.2899, 0.2511)
Pd (0.0641, 0.4438, 0.7510)
Pd (0.1114, 0.2587, 0.2471)
Pd (0.1473, 0.8886, 0.2471)
Pd (0.2587, 0.1473, 0.7529)
Pd (0.3797, 0.9359, 0.7510)
Pd (0.4438, 0.3797, 0.2490)
Pd (0.5562, 0.6203, 0.7510)
Pd (0.6203, 0.0641, 0.2490)
Pd (0.7413, 0.8527, 0.2471)
Pd (0.8527, 0.1114, 0.7529)
Pd (0.8886, 0.7413, 0.7529)
Pd (0.9359, 0.5562, 0.2490)

Peak list (6 most intense, 10 to 90 degrees two-theta, sorted by position)
d/Å, two_theta, I_rel
2.534, 35.4, 100.0
2.081, 43.5, 14.2
1.948, 46.6, 27.3
1.919, 47.4, 16.0
1.367, 68.6, 13.7
1.210, 79.1, 9.1